Starting from the PBE geometry in Alexandria, the PXRD pattern of Tl5Br6 was calculated for CuKα.
Neutral-atom scattering factors, no anomalous dispersion.

Cell and atoms:
```
Tl5Br6
1.0
4.058 -6.929 0.000
4.058 6.929 0.000
-2.636 0.000 7.572
Tl Br
5 6
Direct
0.000 0.000 0.000
0.171 0.829 0.500
0.343 0.657 0.000
0.657 0.343 0.000
0.829 0.171 0.500
0.069 0.412 0.243
0.234 0.234 0.736
0.412 0.069 0.243
0.588 0.931 0.757
0.766 0.766 0.264
0.931 0.588 0.757
```

Largest 10 diffraction maxima, most intense first, 2θ from 5° to 70°:
2θ 27.1, rel. 100
2θ 38.6, rel. 39
2θ 39.0, rel. 38
2θ 48.1, rel. 20
2θ 63.0, rel. 18
2θ 56.0, rel. 13
2θ 63.5, rel. 12
2θ 23.5, rel. 10
2θ 47.4, rel. 7
2θ 23.5, rel. 7

=====

Starting from the PBE geometry in Alexandria, the PXRD pattern of Tm2Tl3Br9 was calculated for CuKα.
Neutral-atom scattering factors, no anomalous dispersion.

Cell and atoms:
```
Tm2Tl3Br9
1.0
6.819 3.937 6.488
-6.819 3.937 6.488
0.000 -7.873 6.488
Tm Tl Br
4 6 18
Direct
0.149 0.149 0.149
0.351 0.351 0.351
0.649 0.649 0.649
0.851 0.851 0.851
0.041 0.750 0.459
0.250 0.541 0.959
0.459 0.041 0.750
0.541 0.959 0.250
0.750 0.459 0.041
0.959 0.250 0.541
0.069 0.277 0.924
0.076 0.931 0.723
0.095 0.405 0.250
0.223 0.431 0.576
0.250 0.095 0.405
0.277 0.924 0.069
0.405 0.250 0.095
0.424 0.777 0.569
0.431 0.576 0.223
0.569 0.424 0.777
0.576 0.223 0.431
0.595 0.750 0.905
0.723 0.076 0.931
0.750 0.905 0.595
0.777 0.569 0.424
0.905 0.595 0.750
0.924 0.069 0.277
0.931 0.723 0.076
```

Largest 10 diffraction maxima, most intense first, 2θ from 5° to 70°:
2θ 29.6, rel. 100
2θ 38.3, rel. 38
2θ 22.6, rel. 33
2θ 11.8, rel. 28
2θ 27.5, rel. 24
2θ 49.9, rel. 22
2θ 30.5, rel. 22
2θ 18.9, rel. 21
2θ 46.1, rel. 21
2θ 20.4, rel. 17